Starting from a structure optimized by DFT (PBE), the powder diffraction line list of Li2Cd5In was simulated for Cu Kα (weighted mean of Kα1 and Kα2).

Structural model:
```
data_Li2Cd5In
_chemical_formula_sum 'Li4 Cd10 In2'
_symmetry_space_group_name_H-M 'P b a m'
_symmetry_Int_Tables_number 55
_cell_length_a 6.319
_cell_length_b 12.652
_cell_length_c 4.232
_cell_angle_alpha 90.00
_cell_angle_beta 90.00
_cell_angle_gamma 90.00
loop_
_symmetry_equiv_pos_as_xyz
'x,y,z'
'-x,-y,-z'
'-x,-y,z'
'x,y,-z'
'x+1/2,-y+1/2,-z'
'-x+1/2,y+1/2,z'
'-x+1/2,y+1/2,-z'
'x+1/2,-y+1/2,z'
loop_
_atom_site_label
_atom_site_fract_x
_atom_site_fract_y
_atom_site_fract_z
_atom_site_occupancy
Li1 0.250 0.123 0.000 1
Cd1 0.000 0.000 0.500 1
Cd2 0.001 0.250 0.500 1
Cd3 0.245 0.874 0.000 1
In1 0.000 0.500 0.500 1
```

Top 8 peaks for 15° ≤ 2θ ≤ 90°, in order of rising 2θ:
2θ (°)	I (rel.)	h k l
19.9	21	1 2 0
29.1	17	1 2 1
35.4	100	2 0 1
40.3	35	2 4 0
42.7	15	0 0 2
58.4	11	0 8 0
60.2	20	2 4 2
70.2	25	2 8 1



Starting from a structure optimized by DFT (PBE), the powder diffraction line list of Li4Cd5In2 was simulated for Cu Kα (weighted mean of Kα1 and Kα2).

Structural model:
```
data_Li4Cd5In2
_chemical_formula_sum 'Li4 Cd5 In2'
_symmetry_space_group_name_H-M 'P 1 2/m 1'
_symmetry_Int_Tables_number 10
_cell_length_a 7.602
_cell_length_b 3.186
_cell_length_c 9.617
_cell_angle_alpha 90.00
_cell_angle_beta 96.78
_cell_angle_gamma 90.00
loop_
_symmetry_equiv_pos_as_xyz
'x,y,z'
'-x,-y,-z'
'-x,y,-z'
'x,-y,z'
loop_
_atom_site_label
_atom_site_fract_x
_atom_site_fract_y
_atom_site_fract_z
_atom_site_occupancy
Li1 0.182 0.000 0.388 1
Li2 0.261 0.000 0.932 1
Cd1 0.170 0.500 0.642 1
Cd2 0.468 0.500 0.179 1
Cd3 0.500 0.500 0.500 1
In1 0.080 0.500 0.143 1
```

Top 8 peaks for 15° ≤ 2θ ≤ 90°, in order of rising 2θ:
2θ (°)	I (rel.)	h k l
20.8	22	1 0 -2
23.2	30	1 0 2
23.6	20	2 0 0
28.0	100	0 1 0
34.7	21	2 0 -3
35.7	20	3 0 0
36.7	22	1 1 2
45.1	20	2 1 -3



Starting from a structure optimized by DFT (PBE), the powder diffraction line list of Li3CdIn6 was simulated for Cu Kα (weighted mean of Kα1 and Kα2).

Structural model:
```
data_Li3CdIn6
_chemical_formula_sum 'Li9 Cd3 In18'
_symmetry_space_group_name_H-M 'R 3 m'
_symmetry_Int_Tables_number 160
_symmetry_space_group_name_Hall 'R 3 -2"'
_cell_length_a 18.3683
_cell_length_b 18.3683
_cell_length_c 3.1788
_cell_angle_alpha 90.00
_cell_angle_beta 90.00
_cell_angle_gamma 120.00
loop_
_atom_site_label
_atom_site_fract_x
_atom_site_fract_y
_atom_site_fract_z
_atom_site_occupancy
Li1 0.0067 0.5034 0.0000 1
Cd1 0.0000 0.0000 0.2870 1
In1 0.0878 0.1756 0.7930 1
In2 0.1893 0.0946 0.2027 1
```

Top 8 peaks for 15° ≤ 2θ ≤ 90°, in order of rising 2θ:
2θ (°)	I (rel.)	h k l
16.7	33	3 0 0
29.2	75	3 3 0
34.8	100	1 3 1
35.2	41	5 2 0
36.2	31	4 0 1
39.2	62	4 4 0
49.3	28	7 0 1
58.3	22	0 1 2



Starting from a structure optimized by DFT (PBE), the powder diffraction line list of Li5Cd4In2 was simulated for Cu Kα (weighted mean of Kα1 and Kα2).

Structural model:
```
data_Li5Cd4In2
_chemical_formula_sum 'Li10 Cd8 In4'
_symmetry_space_group_name_H-M 'P b a m'
_symmetry_Int_Tables_number 55
_cell_length_a 7.428
_cell_length_b 17.448
_cell_length_c 3.317
_cell_angle_alpha 90.00
_cell_angle_beta 90.00
_cell_angle_gamma 90.00
loop_
_symmetry_equiv_pos_as_xyz
'x,y,z'
'-x,-y,-z'
'-x,-y,z'
'x,y,-z'
'x+1/2,-y+1/2,-z'
'-x+1/2,y+1/2,z'
'-x+1/2,y+1/2,-z'
'x+1/2,-y+1/2,z'
loop_
_atom_site_label
_atom_site_fract_x
_atom_site_fract_y
_atom_site_fract_z
_atom_site_occupancy
Li1 0.000 0.000 0.000 1
Li2 0.111 0.426 0.000 1
Li3 0.218 0.185 0.000 1
Cd1 0.090 0.867 0.500 1
Cd2 0.207 0.554 0.500 1
In1 0.037 0.296 0.500 1
```

Top 8 peaks for 15° ≤ 2θ ≤ 90°, in order of rising 2θ:
2θ (°)	I (rel.)	h k l
23.7	46	1 4 0
26.1	52	2 2 0
26.9	100	0 0 1
28.3	37	1 5 0
36.1	39	1 4 1
37.8	77	3 2 0
39.4	38	1 5 1
39.6	39	2 3 1



Starting from a structure optimized by DFT (PBE), the powder diffraction line list of LiCd6In3 was simulated for Cu Kα (weighted mean of Kα1 and Kα2).

Structural model:
```
data_LiCd6In3
_chemical_formula_sum 'Li6 Cd36 In18'
_symmetry_space_group_name_H-M 'R -3'
_symmetry_Int_Tables_number 148
_symmetry_space_group_name_Hall '-R 3'
_cell_length_a 12.8698
_cell_length_b 12.8698
_cell_length_c 9.8081
_cell_angle_alpha 90.00
_cell_angle_beta 90.00
_cell_angle_gamma 120.00
loop_
_atom_site_label
_atom_site_fract_x
_atom_site_fract_y
_atom_site_fract_z
_atom_site_occupancy
Li1 0.0000 0.0000 0.0000 1
Li2 0.0000 0.0000 0.5000 1
Cd1 0.0145 0.7732 0.0471 1
Cd2 0.0704 0.5826 0.1202 1
In1 0.0358 0.8707 0.7498 1
```

Top 8 peaks for 15° ≤ 2θ ≤ 90°, in order of rising 2θ:
2θ (°)	I (rel.)	h k l
30.7	91	2 -1 3
33.4	82	4 0 1
34.3	74	3 1 2
36.3	100	3 2 1
36.6	67	0 3 3
37.0	87	4 1 0
37.1	50	0 4 2
39.3	70	4 -2 3



Starting from a structure optimized by DFT (PBE), the powder diffraction line list of LiCd4In2 was simulated for Cu Kα (weighted mean of Kα1 and Kα2).

Structural model:
```
data_LiCd4In2
_chemical_formula_sum 'Li2 Cd8 In4'
_symmetry_space_group_name_H-M 'C m m m'
_symmetry_Int_Tables_number 65
_symmetry_space_group_name_Hall '-C 2 2'
_cell_length_a 5.098
_cell_length_b 20.378
_cell_length_c 3.170
_cell_angle_alpha 90.00
_cell_angle_beta 90.00
_cell_angle_gamma 90.00
loop_
_atom_site_label
_atom_site_fract_x
_atom_site_fract_y
_atom_site_fract_z
_atom_site_occupancy
Li1 0.000 0.000 0.000 1
Cd1 0.000 0.124 0.500 1
Cd2 0.000 0.427 0.000 1
In1 0.000 0.287 0.500 1
```

Top 8 peaks for 15° ≤ 2θ ≤ 90°, in order of rising 2θ:
2θ (°)	I (rel.)	h k l
28.0	24	1 5 0
29.5	49	0 2 1
33.6	54	1 1 1
35.2	61	2 0 0
35.5	93	1 7 0
40.1	100	1 5 1
46.6	27	2 2 1
62.0	25	0 12 1



Starting from a structure optimized by DFT (PBE), the powder diffraction line list of LiCdIn was simulated for Cu Kα (weighted mean of Kα1 and Kα2).

Structural model:
```
data_LiCdIn
_chemical_formula_sum 'Li2 Cd2 In2'
_symmetry_space_group_name_H-M 'P 1 21/m 1'
_symmetry_Int_Tables_number 11
_cell_length_a 4.373
_cell_length_b 4.464
_cell_length_c 6.857
_cell_angle_alpha 90.00
_cell_angle_beta 108.35
_cell_angle_gamma 90.00
loop_
_symmetry_equiv_pos_as_xyz
'x,y,z'
'-x,-y,-z'
'-x,y+1/2,-z'
'x,-y+1/2,z'
loop_
_atom_site_label
_atom_site_fract_x
_atom_site_fract_y
_atom_site_fract_z
_atom_site_occupancy
Li1 0.085 0.250 0.171 1
Cd1 0.247 0.750 0.493 1
In1 0.415 0.250 0.835 1
```

Top 8 peaks for 15° ≤ 2θ ≤ 90°, in order of rising 2θ:
2θ (°)	I (rel.)	h k l
21.4	57	1 0 -1
24.2	49	0 1 1
35.4	100	1 1 1
35.5	99	1 1 -2
40.4	41	0 2 0
41.3	32	2 0 -1
41.6	31	0 0 3
70.2	25	1 3 1



Starting from a structure optimized by DFT (PBE), the powder diffraction line list of LiCd6In2 was simulated for Cu Kα (weighted mean of Kα1 and Kα2).

Structural model:
```
data_LiCd6In2
_chemical_formula_sum 'Li2 Cd12 In4'
_symmetry_space_group_name_H-M 'C 1 2/m 1'
_symmetry_Int_Tables_number 12
_cell_length_a 8.607
_cell_length_b 15.307
_cell_length_c 3.249
_cell_angle_alpha 90.00
_cell_angle_beta 103.84
_cell_angle_gamma 90.00
loop_
_symmetry_equiv_pos_as_xyz
'x,y,z'
'-x,-y,-z'
'-x,y,-z'
'x,-y,z'
'x+1/2,y+1/2,z'
'-x+1/2,-y+1/2,-z'
'-x+1/2,y+1/2,-z'
'x+1/2,-y+1/2,z'
loop_
_atom_site_label
_atom_site_fract_x
_atom_site_fract_y
_atom_site_fract_z
_atom_site_occupancy
Li1 0.000 0.000 0.000 1
Cd1 0.161 0.334 0.830 1
Cd2 0.182 0.500 0.338 1
In1 0.000 0.158 0.500 1
```

Top 8 peaks for 15° ≤ 2θ ≤ 90°, in order of rising 2θ:
2θ (°)	I (rel.)	h k l
31.2	24	2 0 -1
32.7	57	3 1 0
33.3	48	2 2 -1
35.2	58	0 6 0
36.8	26	3 3 0
37.2	100	1 3 1
39.2	40	2 4 -1
58.8	23	5 3 -1



Starting from a structure optimized by DFT (PBE), the powder diffraction line list of Li2CdIn2 was simulated for Cu Kα (weighted mean of Kα1 and Kα2).

Structural model:
```
data_Li2CdIn2
_chemical_formula_sum 'Li8 Cd4 In8'
_symmetry_space_group_name_H-M 'C 1 2/c 1'
_symmetry_Int_Tables_number 15
_cell_length_a 16.902
_cell_length_b 4.972
_cell_length_c 5.003
_cell_angle_alpha 90.00
_cell_angle_beta 90.42
_cell_angle_gamma 90.00
loop_
_symmetry_equiv_pos_as_xyz
'x,y,z'
'-x,-y,-z'
'-x,y,-z+1/2'
'x,-y,z+1/2'
'x+1/2,y+1/2,z'
'-x+1/2,-y+1/2,-z'
'-x+1/2,y+1/2,-z+1/2'
'x+1/2,-y+1/2,z+1/2'
loop_
_atom_site_label
_atom_site_fract_x
_atom_site_fract_y
_atom_site_fract_z
_atom_site_occupancy
Li1 0.093 0.207 0.250 1
Cd1 0.000 0.292 0.750 1
In1 0.191 0.293 0.751 1
```

Top 8 peaks for 15° ≤ 2θ ≤ 90°, in order of rising 2θ:
2θ (°)	I (rel.)	h k l
21.0	19	4 0 0
25.8	100	1 1 -1
31.8	27	6 0 0
35.9	40	0 0 2
36.1	29	0 2 0
36.7	65	5 1 -1
36.9	65	5 1 1
51.9	20	0 2 2



Starting from a structure optimized by DFT (PBE), the powder diffraction line list of Li2CdIn3 was simulated for Cu Kα (weighted mean of Kα1 and Kα2).

Structural model:
```
data_Li2CdIn3
_chemical_formula_sum 'Li16 Cd8 In24'
_symmetry_space_group_name_H-M 'F m m m'
_symmetry_Int_Tables_number 69
_symmetry_space_group_name_Hall '-F 2 2'
_cell_length_a 6.229
_cell_length_b 9.711
_cell_length_c 18.058
_cell_angle_alpha 90.00
_cell_angle_beta 90.00
_cell_angle_gamma 90.00
loop_
_atom_site_label
_atom_site_fract_x
_atom_site_fract_y
_atom_site_fract_z
_atom_site_occupancy
Li1 0.244 0.000 0.000 1
Li2 0.250 0.250 0.250 1
Cd1 0.000 0.000 0.146 1
In1 0.000 0.000 0.305 1
In2 0.000 0.225 0.417 1
```

Top 8 peaks for 15° ≤ 2θ ≤ 90°, in order of rising 2θ:
2θ (°)	I (rel.)	h k l
19.7	41	0 0 4
20.8	100	0 2 2
28.7	97	2 0 0
35.1	98	0 2 6
35.7	61	2 2 2
37.0	44	0 4 0
38.9	41	1 1 7
45.9	62	2 2 6



Starting from a structure optimized by DFT (PBE), the powder diffraction line list of LiCdIn was simulated for Cu Kα (weighted mean of Kα1 and Kα2).

Structural model:
```
data_LiCdIn
_chemical_formula_sum 'Li1 Cd1 In1'
_symmetry_space_group_name_H-M 'P 3 m 1'
_symmetry_Int_Tables_number 156
_cell_length_a 4.8005
_cell_length_b 4.8005
_cell_length_c 3.2350
_cell_angle_alpha 90.00
_cell_angle_beta 90.00
_cell_angle_gamma 120.00
loop_
_symmetry_equiv_pos_as_xyz
'x,y,z'
'-y,x-y,z'
'-x+y,-x,z'
'-y,-x,z'
'-x+y,y,z'
'x,x-y,z'
loop_
_atom_site_label
_atom_site_fract_x
_atom_site_fract_y
_atom_site_fract_z
_atom_site_occupancy
Li1 0.0000 0.0000 0.0000 1
Cd1 0.3333 0.6667 0.3262 1
In1 0.6667 0.3333 0.6388 1
```

Top 8 peaks for 15° ≤ 2θ ≤ 90°, in order of rising 2θ:
2θ (°)	I (rel.)	h k l
21.4	67	1 0 0
35.2	100	0 1 1
37.5	72	1 1 0
47.1	20	1 1 1
52.3	31	2 0 1
61.5	21	1 0 2
66.1	30	1 2 1
86.3	16	2 1 2



Starting from a structure optimized by DFT (PBE), the powder diffraction line list of Li3CdIn3 was simulated for Cu Kα (weighted mean of Kα1 and Kα2).

Structural model:
```
data_Li3CdIn3
_chemical_formula_sum 'Li12 Cd4 In12'
_symmetry_space_group_name_H-M 'C 1 2/m 1'
_symmetry_Int_Tables_number 12
_cell_length_a 7.410
_cell_length_b 9.532
_cell_length_c 8.885
_cell_angle_alpha 90.00
_cell_angle_beta 90.04
_cell_angle_gamma 90.00
loop_
_symmetry_equiv_pos_as_xyz
'x,y,z'
'-x,-y,-z'
'-x,y,-z'
'x,-y,z'
'x+1/2,y+1/2,z'
'-x+1/2,-y+1/2,-z'
'-x+1/2,y+1/2,-z'
'x+1/2,-y+1/2,z'
loop_
_atom_site_label
_atom_site_fract_x
_atom_site_fract_y
_atom_site_fract_z
_atom_site_occupancy
Li1 0.000 0.209 0.000 1
Li2 0.000 0.219 0.500 1
Li3 0.213 0.500 0.000 1
Cd1 0.197 0.500 0.500 1
In1 0.001 0.000 0.246 1
In2 0.249 0.251 0.244 1
```

Top 8 peaks for 15° ≤ 2θ ≤ 90°, in order of rising 2θ:
2θ (°)	I (rel.)	h k l
20.0	24	0 0 2
24.0	13	2 0 0
25.2	28	1 1 -2
27.4	24	0 2 2
30.6	24	2 2 0
36.8	100	2 2 2
37.7	23	0 4 0
40.6	19	0 0 4